1.
Theoretical XRD peak list
Compound: Ho12InPd5
Radiation: Cu Kα (λ = 1.5418 Å)
Structure: a DFT-relaxed cell (GGA-PBE, Alexandria)
Kinematic intensities with the Lorentz-polarization factor, no thermal factor.

Structure:
```
data_Ho12InPd5
_cell_length_a 9.4584
_cell_length_b 9.6202
_cell_length_c 10.2401
_cell_angle_alpha 90.00
_cell_angle_beta 90.00
_cell_angle_gamma 90.00
_symmetry_space_group_name_H-M 'I m m m'
_symmetry_Int_Tables_number 71
_symmetry_space_group_name_Hall '-I 2 2'
loop_
_atom_site_label
_atom_site_type_symbol
_atom_site_fract_x
_atom_site_fract_y
_atom_site_fract_z
Ho1 Ho 0.0000 0.1902 0.2270
Ho2 Ho 0.2011 0.5000 0.1740
Ho3 Ho 0.2141 0.3190 0.5000
In1 In 0.0000 0.0000 0.5000
Pd1 Pd 0.0000 0.0000 0.0000
Pd2 Pd 0.0000 0.3485 0.0000
Pd3 Pd 0.0000 0.5000 0.3665
```

Top 8 peaks for 10° ≤ 2θ ≤ 90°, low angle first:
- 29.8 deg, rel. 24, (3 1 0)
- 31.8 deg, rel. 100, (2 2 2)
- 33.7 deg, rel. 74, (2 1 3)
- 34.3 deg, rel. 82, (1 3 2)
- 34.9 deg, rel. 55, (2 3 1)
- 35.1 deg, rel. 47, (0 0 4)
- 38.1 deg, rel. 35, (4 0 0)
- 59.5 deg, rel. 40, (5 3 2)

=====

2.
Theoretical XRD peak list
Compound: Sr8Hg2N
Radiation: Cu Kα (λ = 1.5418 Å)
Structure: a DFT-relaxed cell (GGA-PBE, Alexandria)
Kinematic intensities with the Lorentz-polarization factor, no thermal factor.

Structure:
```
data_Sr8Hg2N
_cell_length_a 13.5270
_cell_length_b 10.0176
_cell_length_c 7.0658
_cell_angle_alpha 90.00
_cell_angle_beta 108.96
_cell_angle_gamma 90.00
_symmetry_space_group_name_H-M 'C 1 2/m 1'
_symmetry_Int_Tables_number 12
_symmetry_space_group_name_Hall '-C 2y'
loop_
_atom_site_label
_atom_site_type_symbol
_atom_site_fract_x
_atom_site_fract_y
_atom_site_fract_z
Sr1 Sr 0.0889 0.0000 0.2950
Sr2 Sr 0.1208 0.5000 0.2799
Sr3 Sr 0.1260 0.3139 0.7395
Hg1 Hg 0.1800 0.0000 0.9028
N1 N 0.0000 0.5000 0.5000
```

Top 8 peaks for 10° ≤ 2θ ≤ 90°, low angle first:
- 15.8 deg, rel. 73, (2 0 -1)
- 17.7 deg, rel. 76, (0 2 0)
- 27.9 deg, rel. 46, (4 0 0)
- 28.5 deg, rel. 74, (2 2 1)
- 29.7 deg, rel. 63, (3 1 1)
- 31.4 deg, rel. 54, (2 2 -2)
- 31.8 deg, rel. 100, (4 0 -2)
- 34.1 deg, rel. 58, (3 3 0)

=====

3.
Theoretical XRD peak list
Compound: TiVCrPd
Radiation: Cu Kα (λ = 1.5418 Å)
Structure: a DFT-relaxed cell (GGA-PBE, Alexandria)
Kinematic intensities with the Lorentz-polarization factor, no thermal factor.

Structure:
```
data_TiVCrPd
_cell_length_a 6.0896
_cell_length_b 6.0896
_cell_length_c 6.0896
_cell_angle_alpha 90.00
_cell_angle_beta 90.00
_cell_angle_gamma 90.00
_symmetry_space_group_name_H-M 'F -4 3 m'
_symmetry_Int_Tables_number 216
_symmetry_space_group_name_Hall 'F -4 2 3'
loop_
_atom_site_label
_atom_site_type_symbol
_atom_site_fract_x
_atom_site_fract_y
_atom_site_fract_z
Ti1 Ti 0.0000 0.0000 0.0000
V1 V 0.0000 0.0000 0.5000
Cr1 Cr 0.2500 0.2500 0.7500
Pd1 Pd 0.2500 0.2500 0.2500
```

Top 8 peaks for 10° ≤ 2θ ≤ 90°, low angle first:
- 25.3 deg, rel. 11, (1 1 1)
- 29.3 deg, rel. 8, (2 0 0)
- 42.0 deg, rel. 100, (2 2 0)
- 49.7 deg, rel. 6, (3 1 1)
- 60.8 deg, rel. 15, (4 0 0)
- 67.0 deg, rel. 3, (3 3 1)
- 69.0 deg, rel. 3, (4 2 0)
- 76.7 deg, rel. 30, (4 2 2)

=====

4.
Theoretical XRD peak list
Compound: TiCoNiGe
Radiation: Cu Kα (λ = 1.5418 Å)
Structure: a DFT-relaxed cell (GGA-PBE, Alexandria)
Kinematic intensities with the Lorentz-polarization factor, no thermal factor.

Structure:
```
data_TiCoNiGe
_cell_length_a 3.8899
_cell_length_b 3.8899
_cell_length_c 6.6695
_cell_angle_alpha 90.00
_cell_angle_beta 90.00
_cell_angle_gamma 90.00
_symmetry_space_group_name_H-M 'I -4 m 2'
_symmetry_Int_Tables_number 119
_symmetry_space_group_name_Hall 'I -4 -2'
loop_
_atom_site_label
_atom_site_type_symbol
_atom_site_fract_x
_atom_site_fract_y
_atom_site_fract_z
Ti1 Ti 0.0000 0.0000 0.0000
Co1 Co 0.0000 0.5000 0.2500
Ni1 Ni 0.0000 0.5000 0.7500
Ge1 Ge 0.0000 0.0000 0.5000
```

Top 8 peaks for 10° ≤ 2θ ≤ 90°, low angle first:
- 26.5 deg, rel. 4, (1 0 1)
- 42.6 deg, rel. 100, (1 1 2)
- 46.7 deg, rel. 38, (2 0 0)
- 54.5 deg, rel. 1, (2 1 1)
- 55.1 deg, rel. 11, (0 0 4)
- 68.2 deg, rel. 11, (2 2 0)
- 75.0 deg, rel. 17, (2 0 4)
- 83.8 deg, rel. 25, (3 1 2)

=====

5.
Theoretical XRD peak list
Compound: LiCo2Ge2
Radiation: Cu Kα (λ = 1.5418 Å)
Structure: a DFT-relaxed cell (GGA-PBE, Alexandria)
Kinematic intensities with the Lorentz-polarization factor, no thermal factor.

Structure:
```
data_LiCo2Ge2
_cell_length_a 5.0060
_cell_length_b 3.9460
_cell_length_c 6.6083
_cell_angle_alpha 90.00
_cell_angle_beta 90.00
_cell_angle_gamma 90.00
_symmetry_space_group_name_H-M 'P m m a'
_symmetry_Int_Tables_number 51
_symmetry_space_group_name_Hall '-P 2a 2a'
loop_
_atom_site_label
_atom_site_type_symbol
_atom_site_fract_x
_atom_site_fract_y
_atom_site_fract_z
Li1 Li 0.0000 0.0000 0.0000
Co1 Co 0.0000 0.5000 0.5000
Co2 Co 0.2500 0.5000 0.1541
Ge1 Ge 0.2500 0.0000 0.3765
Ge2 Ge 0.2500 0.5000 0.8019
```

Top 8 peaks for 10° ≤ 2θ ≤ 90°, low angle first:
- 13.4 deg, rel. 36, (0 0 1)
- 22.5 deg, rel. 60, (0 1 0)
- 31.9 deg, rel. 36, (1 1 1)
- 39.9 deg, rel. 28, (1 1 2)
- 45.0 deg, rel. 100, (2 1 1)
- 46.0 deg, rel. 47, (0 2 0)
- 47.3 deg, rel. 65, (0 1 3)
- 51.3 deg, rel. 34, (2 1 2)

=====

6.
Theoretical XRD peak list
Compound: Sm4Te2RuBr
Radiation: Cu Kα (λ = 1.5418 Å)
Structure: a DFT-relaxed cell (GGA-PBE, Alexandria)
Kinematic intensities with the Lorentz-polarization factor, no thermal factor.

Structure:
```
data_Sm4Te2RuBr
_cell_length_a 7.6368
_cell_length_b 4.2033
_cell_length_c 7.6772
_cell_angle_alpha 90.00
_cell_angle_beta 107.03
_cell_angle_gamma 90.00
_symmetry_space_group_name_H-M 'P 1 2/m 1'
_symmetry_Int_Tables_number 10
_symmetry_space_group_name_Hall '-P 2y'
loop_
_atom_site_label
_atom_site_type_symbol
_atom_site_fract_x
_atom_site_fract_y
_atom_site_fract_z
Sm1 Sm 0.2114 0.0000 0.2115
Sm2 Sm 0.2210 0.5000 0.7721
Te1 Te 0.0000 0.0000 0.5000
Te2 Te 0.5000 0.5000 0.5000
Ru1 Ru 0.0000 0.5000 0.0000
Br1 Br 0.5000 0.0000 0.0000
```

Top 8 peaks for 10° ≤ 2θ ≤ 90°, low angle first:
- 28.9 deg, rel. 100, (1 1 1)
- 39.6 deg, rel. 12, (2 0 2)
- 41.3 deg, rel. 23, (1 1 -3)
- 41.5 deg, rel. 22, (3 1 -1)
- 43.0 deg, rel. 12, (0 2 0)
- 52.7 deg, rel. 15, (2 2 -2)
- 59.9 deg, rel. 9, (2 2 2)
- 68.0 deg, rel. 8, (4 2 0)

=====

Please write out number 6 again, unchanged.
Theoretical XRD peak list
Compound: Sm4Te2RuBr
Radiation: Cu Kα (λ = 1.5418 Å)
Structure: a DFT-relaxed cell (GGA-PBE, Alexandria)
Kinematic intensities with the Lorentz-polarization factor, no thermal factor.

Structure:
```
data_Sm4Te2RuBr
_cell_length_a 7.6368
_cell_length_b 4.2033
_cell_length_c 7.6772
_cell_angle_alpha 90.00
_cell_angle_beta 107.03
_cell_angle_gamma 90.00
_symmetry_space_group_name_H-M 'P 1 2/m 1'
_symmetry_Int_Tables_number 10
_symmetry_space_group_name_Hall '-P 2y'
loop_
_atom_site_label
_atom_site_type_symbol
_atom_site_fract_x
_atom_site_fract_y
_atom_site_fract_z
Sm1 Sm 0.2114 0.0000 0.2115
Sm2 Sm 0.2210 0.5000 0.7721
Te1 Te 0.0000 0.0000 0.5000
Te2 Te 0.5000 0.5000 0.5000
Ru1 Ru 0.0000 0.5000 0.0000
Br1 Br 0.5000 0.0000 0.0000
```

Top 8 peaks for 10° ≤ 2θ ≤ 90°, low angle first:
- 28.9 deg, rel. 100, (1 1 1)
- 39.6 deg, rel. 12, (2 0 2)
- 41.3 deg, rel. 23, (1 1 -3)
- 41.5 deg, rel. 22, (3 1 -1)
- 43.0 deg, rel. 12, (0 2 0)
- 52.7 deg, rel. 15, (2 2 -2)
- 59.9 deg, rel. 9, (2 2 2)
- 68.0 deg, rel. 8, (4 2 0)